(1)
# ReWIN2
Calculated powder diffraction line list, Cu Kα, 1.54184 Å. Input: a PBE-relaxed structure.

Unit cell a=3.9503 b=3.9503 c=5.8068 alpha=90.00 beta=90.00 gamma=90.00
Space group P4/mmm (No. 123)
Symmetry-distinct sites (fractional):
Re 0.0000 0.0000 0.0000 x1
W 0.5000 0.5000 0.5000 x1
I 0.5000 0.5000 0.0000 x1
N 0.0000 0.5000 0.5000 x2

Main lines, sorted by position (2θ = 5–70°):
2θ/deg, d (Å), I/Imax
22.5, 3.950, 18
27.3, 3.266, 80
30.8, 2.903, 70
32.0, 2.793, 100
35.7, 2.517, 17
45.0, 2.013, 80
45.9, 1.975, 46
54.3, 1.690, 25
56.3, 1.633, 50
67.0, 1.397, 15

(2)
# VRuI2N
Calculated powder diffraction line list, Cu Kα, 1.54184 Å. Input: a PBE-relaxed structure.

Unit cell a=5.3952 b=5.3952 c=3.5892 alpha=90.00 beta=90.00 gamma=90.00
Space group P4/mmm (No. 123)
Symmetry-distinct sites (fractional):
V 0.0000 0.0000 0.0000 x1
Ru 0.5000 0.5000 0.5000 x1
I 0.0000 0.5000 0.0000 x2
N 0.0000 0.0000 0.5000 x1

Main lines, sorted by position (2θ = 5–70°):
2θ/deg, d (Å), I/Imax
24.8, 3.589, 20
29.9, 2.988, 28
33.2, 2.698, 95
34.3, 2.614, 100
41.9, 2.156, 19
45.3, 2.002, 18
47.7, 1.907, 33
50.9, 1.795, 14
60.0, 1.541, 39
62.1, 1.494, 29

(3)
# SnS2IN
Calculated powder diffraction line list, Cu Kα, 1.54184 Å. Input: a PBE-relaxed structure.

Unit cell a=5.2270 b=5.2270 c=3.9881 alpha=90.00 beta=90.00 gamma=90.00
Space group P4/mmm (No. 123)
Symmetry-distinct sites (fractional):
Sn 0.0000 0.0000 0.0000 x1
S 0.0000 0.5000 0.0000 x2
I 0.5000 0.5000 0.5000 x1
N 0.0000 0.0000 0.5000 x1

Main lines, sorted by position (2θ = 5–70°):
2θ/deg, d (Å), I/Imax
24.1, 3.696, 50
28.1, 3.171, 100
34.3, 2.613, 59
44.9, 2.017, 57
49.3, 1.848, 20
52.1, 1.755, 13
57.7, 1.597, 14
58.2, 1.585, 25
68.9, 1.362, 17
69.3, 1.355, 15

Repeat the second record exactly.
# VRuI2N
Calculated powder diffraction line list, Cu Kα, 1.54184 Å. Input: a PBE-relaxed structure.

Unit cell a=5.3952 b=5.3952 c=3.5892 alpha=90.00 beta=90.00 gamma=90.00
Space group P4/mmm (No. 123)
Symmetry-distinct sites (fractional):
V 0.0000 0.0000 0.0000 x1
Ru 0.5000 0.5000 0.5000 x1
I 0.0000 0.5000 0.0000 x2
N 0.0000 0.0000 0.5000 x1

Main lines, sorted by position (2θ = 5–70°):
2θ/deg, d (Å), I/Imax
24.8, 3.589, 20
29.9, 2.988, 28
33.2, 2.698, 95
34.3, 2.614, 100
41.9, 2.156, 19
45.3, 2.002, 18
47.7, 1.907, 33
50.9, 1.795, 14
60.0, 1.541, 39
62.1, 1.494, 29